No. 1
# AcBeN2
Simulated XRD peak list, a wavelength of 1.5418 Å. Input: the GGA-PBE geometry in Alexandria.

Top 6 peaks for 10 to 80 degrees two-theta, low angle first:
d/Å, 2θ (°), intensity
5.399, 16.42, 96.2
3.428, 25.99, 73.3
3.218, 27.72, 100.0
2.651, 33.81, 45.4
2.380, 37.80, 45.5
1.896, 47.99, 39.2

Cell and atoms:
```
AcBeN2
1.0
2.0249 1.1691 5.3993
-2.0249 1.1691 5.3993
0.0000 -2.3381 5.3993
Ac Be N
1 1 2
Direct
0.0000 0.0000 0.0000
0.5000 0.5000 0.5000
0.4058 0.4058 0.4058
0.5942 0.5942 0.5942
```

***

No. 2
# K2Tl3Hg
Simulated XRD peak list, a wavelength of 1.5418 Å. Input: the GGA-PBE geometry in Alexandria.

Top 6 peaks for 10 to 80 degrees two-theta, low angle first:
d/Å, 2θ (°), intensity
4.586, 19.36, 91.5
4.325, 20.53, 53.2
3.182, 28.05, 69.4
2.716, 32.98, 38.7
2.654, 33.78, 57.3
2.643, 33.91, 100.0

Cell and atoms:
```
K2Tl3Hg
1.0
6.1602 -2.6537 0.0000
6.1602 2.6537 0.0000
-5.8028 0.0000 6.4270
K Tl Hg
2 3 1
Direct
0.0000 0.0000 0.0000
0.1213 0.1213 0.6271
0.3979 0.3979 0.2208
0.7202 0.7202 0.0373
0.7275 0.7275 0.4111
0.4041 0.4041 0.6005
```

***

No. 3
# Dy5TmMg6
Simulated XRD peak list, a wavelength of 1.5418 Å. Input: the GGA-PBE geometry in Alexandria.

Top 6 peaks for 10 to 80 degrees two-theta, low angle first:
d/Å, 2θ (°), intensity
3.789, 23.48, 64.3
3.765, 23.63, 31.7
2.679, 33.44, 50.4
2.671, 33.55, 100.0
2.183, 41.36, 29.7
1.545, 59.85, 37.8

Cell and atoms:
```
Dy5TmMg6
1.0
2.6799 -8.0367 0.0000
2.6799 8.0367 0.0000
0.0000 0.0000 7.5306
Dy Tm Mg
5 1 6
Direct
0.0000 0.0000 0.0000
0.3328 0.6672 0.0000
0.3342 0.6658 0.5000
0.6658 0.3342 0.5000
0.6672 0.3328 0.0000
0.0000 0.0000 0.5000
0.1664 0.8336 0.2508
0.1664 0.8336 0.7492
0.5000 0.5000 0.2506
0.5000 0.5000 0.7494
0.8336 0.1664 0.2508
0.8336 0.1664 0.7492
```

***

No. 4
# Er3S3N
Simulated XRD peak list, a wavelength of 1.5418 Å. Input: the GGA-PBE geometry in Alexandria.

Top 6 peaks for 10 to 80 degrees two-theta, low angle first:
d/Å, 2θ (°), intensity
3.368, 26.46, 100.0
3.222, 27.68, 79.3
3.142, 28.41, 78.3
2.514, 35.72, 68.0
2.265, 39.79, 65.2
1.888, 48.20, 67.4

Cell and atoms:
```
Er3S3N
1.0
11.8532 0.0000 0.0000
0.0000 3.7763 0.0000
0.0000 0.0000 12.8898
Er S N
12 12 4
Direct
0.0498 0.2500 0.1400
0.0610 0.2500 0.6337
0.2085 0.2500 0.8572
0.2915 0.7500 0.3572
0.4390 0.7500 0.1337
0.4502 0.7500 0.6400
0.5498 0.2500 0.3600
0.5610 0.2500 0.8663
0.7085 0.2500 0.6428
0.7915 0.7500 0.1428
0.9390 0.7500 0.3663
0.9502 0.7500 0.8600
0.0964 0.2500 0.4046
0.1325 0.7500 0.9891
0.2228 0.7500 0.6914
0.2772 0.2500 0.1914
0.3675 0.2500 0.4891
0.4036 0.7500 0.9046
0.5964 0.2500 0.0954
0.6325 0.7500 0.5109
0.7228 0.7500 0.8086
0.7772 0.2500 0.3086
0.8675 0.2500 0.0109
0.9036 0.7500 0.5954
0.0306 0.2500 0.7986
0.4694 0.7500 0.2986
0.5306 0.2500 0.7014
0.9694 0.7500 0.2014
```